Structure and computed powder diffraction line list of CoRe4Ru (a cell relaxed with GGA-PBE; Cu Kα, 1.54184 Å).
Intensities are scaled so that the largest is 100.

Structural model:
```
data_CoRe4Ru
_chemical_formula_sum 'Co1 Re4 Ru1'
_cell_length_a 5.092
_cell_length_b 5.092
_cell_length_c 5.092
_cell_angle_alpha 60.00
_cell_angle_beta 60.00
_cell_angle_gamma 60.00
_space_group_name_H-M_alt 'P 1'
_space_group_IT_number 1
_space_group_name_Hall 'P 1'
loop_
_atom_site_label
_atom_site_fract_x
_atom_site_fract_y
_atom_site_fract_z
Co1 0.000 0.000 0.000
Re1 0.123 0.626 0.626
Re2 0.626 0.123 0.626
Re3 0.626 0.626 0.123
Re4 0.626 0.626 0.626
Ru1 0.250 0.250 0.250
```

Largest 9 diffraction maxima, sorted by position, 2θ = 5–70°:
21.37 deg, 4.158 Å, I 49
24.72 deg, 3.601 Å, I 1
35.25 deg, 2.546 Å, I 9
41.59 deg, 2.171 Å, I 100
43.53 deg, 2.079 Å, I 68
50.71 deg, 1.800 Å, I 20
55.63 deg, 1.652 Å, I 12
63.26 deg, 1.470 Å, I 3
67.59 deg, 1.386 Å, I 32